# 1
The following is a simulated powder X-ray diffraction pattern of Nd7SnSe5. It was derived from a structure optimized by DFT (PBE), using Cu Kα, 1.54184 Å.
Peak positions follow from Bragg's law for the DFT cell and can differ from measured ones.

Cell and atoms:
```
26
Lattice="2.141 -6.908 0.000 2.141 6.908 0.000 0.000 0.000 25.070" Properties=species:S:1:pos:R:3 pbc="T T T"
Nd 2.141 6.515 18.803
Nd 2.141 5.013 0.920
Nd 2.141 5.013 11.615
Nd 2.141 2.534 16.982
Nd 2.141 2.534 20.623
Nd 2.141 1.303 2.865
Nd 2.141 1.303 9.670
Nd 2.141 -1.303 15.401
Nd 2.141 -1.303 22.205
Nd 2.141 -2.534 4.447
Nd 2.141 -2.534 8.088
Nd 2.141 -5.013 13.455
Nd 2.141 -5.013 24.150
Nd 2.141 -6.515 6.268
Sn 2.141 2.699 6.268
Sn 2.141 -2.699 18.803
Se 2.141 6.258 3.557
Se 2.141 6.258 8.978
Se 2.141 3.784 14.324
Se 2.141 3.784 23.281
Se 2.141 0.000 0.000
Se 2.141 0.000 12.535
Se 2.141 -3.784 1.789
Se 2.141 -3.784 10.746
Se 2.141 -6.258 16.092
Se 2.141 -6.258 21.513
```

Most intense lines, 10° ≤ 2θ ≤ 90°, by intensity:
| d/Å | 2theta | Rel. int. |
| --- | --- | --- |
| 3.042 | 29.36 | 100 |
| 3.178 | 28.07 | 86 |
| 2.936 | 30.45 | 67 |
| 2.140 | 42.24 | 63 |
| 2.107 | 42.93 | 34 |
| 2.302 | 39.13 | 33 |
| 1.776 | 51.46 | 30 |
| 2.854 | 31.34 | 29 |

---

# 2
The following is a simulated powder X-ray diffraction pattern of ReSe2Br8. It was derived from a structure optimized by DFT (PBE), using Cu Kα, 1.54184 Å.
Peak positions follow from Bragg's law for the DFT cell and can differ from measured ones.

Cell and atoms:
```
11
Lattice="7.385 0.000 0.000 -0.301 7.855 0.000 -3.118 -0.643 7.591" Properties=species:S:1:pos:R:3 pbc="T T T"
Re 0.000 0.000 0.000
Se 0.098 6.409 2.082
Se 3.868 0.802 5.509
Br -2.181 2.755 5.655
Br -1.478 6.597 6.142
Br 1.477 1.438 1.402
Br 2.265 5.472 1.938
Br 1.701 1.739 5.653
Br 2.488 5.773 6.189
Br 5.444 0.614 1.449
Br 6.147 4.456 1.936
```

Most intense lines, 10° ≤ 2θ ≤ 90°, by intensity:
| d/Å | 2theta | Rel. int. |
| --- | --- | --- |
| 7.827 | 11.31 | 100 |
| 6.443 | 13.74 | 98 |
| 7.591 | 11.66 | 87 |
| 6.819 | 12.98 | 87 |
| 5.233 | 16.94 | 83 |
| 3.796 | 23.44 | 69 |
| 3.300 | 27.02 | 60 |
| 3.605 | 24.70 | 47 |

---

# 3
The following is a simulated powder X-ray diffraction pattern of BaCeCu2S4. It was derived from a structure optimized by DFT (PBE), using Cu Kα, 1.54184 Å.
Peak positions follow from Bragg's law for the DFT cell and can differ from measured ones.

Cell and atoms:
```
16
Lattice="6.561 0.000 0.000 0.000 7.339 0.000 0.000 0.000 8.202" Properties=species:S:1:pos:R:3 pbc="T T T"
Ba 0.000 0.000 0.000
Ba 3.281 3.669 4.101
Ce 0.000 0.000 4.101
Ce 3.281 3.669 0.000
Cu 0.000 3.669 1.310
Cu 0.000 3.669 6.893
Cu 3.281 0.000 2.792
Cu 3.281 0.000 5.411
S 1.619 1.390 2.513
S 1.619 5.949 5.689
S 1.662 2.280 6.614
S 1.662 5.059 1.588
S 4.900 2.280 1.588
S 4.900 5.059 6.614
S 4.942 1.390 5.689
S 4.942 5.949 2.513
```

Most intense lines, 10° ≤ 2θ ≤ 90°, by intensity:
| d/Å | 2theta | Rel. int. |
| --- | --- | --- |
| 3.143 | 28.40 | 100 |
| 2.446 | 36.75 | 56 |
| 2.562 | 35.03 | 32 |
| 3.669 | 24.26 | 31 |
| 1.891 | 48.11 | 29 |
| 2.001 | 45.32 | 27 |
| 2.735 | 32.75 | 24 |
| 4.892 | 18.14 | 23 |

---

# 4
The following is a simulated powder X-ray diffraction pattern of V3NiGe. It was derived from a structure optimized by DFT (PBE), using Cu Kα, 1.54184 Å.
Peak positions follow from Bragg's law for the DFT cell and can differ from measured ones.

Cell and atoms:
```
10
Lattice="-4.218 3.395 2.511 4.218 -3.395 2.511 4.218 3.395 -2.511" Properties=species:S:1:pos:R:3 pbc="T T T"
V 6.328 -0.675 0.966
V 0.048 1.366 0.000
V 4.170 1.366 0.000
V 2.109 0.675 0.966
V 0.048 2.029 2.511
V 4.170 2.029 2.511
Ni 2.109 -1.502 1.826
Ni 2.109 4.898 -0.685
Ge 2.109 3.138 0.964
Ge 2.109 0.257 3.475
```

Most intense lines, 10° ≤ 2θ ≤ 90°, by intensity:
| d/Å | 2theta | Rel. int. |
| --- | --- | --- |
| 2.158 | 41.86 | 100 |
| 2.109 | 42.88 | 94 |
| 2.019 | 44.89 | 62 |
| 4.218 | 21.06 | 60 |
| 2.186 | 41.30 | 57 |
| 2.269 | 39.73 | 54 |
| 2.645 | 33.89 | 48 |
| 1.854 | 49.15 | 42 |

---

# 5
The following is a simulated powder X-ray diffraction pattern of PaCrSi2Tc. It was derived from a structure optimized by DFT (PBE), using Cu Kα, 1.54184 Å.
Peak positions follow from Bragg's law for the DFT cell and can differ from measured ones.

Cell and atoms:
```
10
Lattice="4.067 0.000 0.000 0.000 4.067 0.000 0.000 0.000 10.121" Properties=species:S:1:pos:R:3 pbc="T T T"
Pa 0.000 0.000 0.000
Pa 2.033 2.033 5.060
Cr 0.000 2.033 7.591
Cr 2.033 0.000 2.530
Si 0.000 0.000 3.861
Si 0.000 0.000 6.260
Si 2.033 2.033 1.199
Si 2.033 2.033 8.922
Tc 0.000 2.033 2.530
Tc 2.033 0.000 7.591
```

Most intense lines, 10° ≤ 2θ ≤ 90°, by intensity:
| d/Å | 2theta | Rel. int. |
| --- | --- | --- |
| 2.500 | 35.92 | 100 |
| 3.773 | 23.58 | 68 |
| 2.596 | 34.54 | 53 |
| 2.033 | 44.56 | 35 |
| 1.601 | 57.58 | 25 |
| 1.246 | 76.42 | 22 |
| 1.812 | 50.36 | 20 |
| 1.790 | 51.02 | 19 |

---

# 6
The following is a simulated powder X-ray diffraction pattern of Y14HoMg. It was derived from a structure optimized by DFT (PBE), using Cu Kα, 1.54184 Å.
Peak positions follow from Bragg's law for the DFT cell and can differ from measured ones.

Cell and atoms:
```
16
Lattice="11.137 0.000 0.000 0.000 4.110 5.580 0.000 -4.110 5.580" Properties=species:S:1:pos:R:3 pbc="T T T"
Y 0.000 0.000 0.000
Y 0.000 0.000 5.003
Y 0.000 -1.733 8.061
Y 0.000 1.733 8.061
Y 2.714 0.000 2.663
Y 2.760 0.000 8.886
Y 2.891 -1.743 5.770
Y 2.891 1.743 5.770
Y 5.568 -1.879 8.334
Y 5.568 1.879 8.334
Y 8.246 -1.743 5.770
Y 8.246 1.743 5.770
Y 8.377 0.000 8.886
Y 8.423 0.000 2.663
Ho 5.568 0.000 0.084
Mg 5.568 0.000 5.387
```

Most intense lines, 10° ≤ 2θ ≤ 90°, by intensity:
| d/Å | 2theta | Rel. int. |
| --- | --- | --- |
| 2.845 | 31.45 | 100 |
| 2.787 | 32.12 | 48 |
| 1.620 | 56.85 | 25 |
| 2.895 | 30.89 | 17 |
| 1.971 | 46.06 | 14 |
| 1.654 | 55.56 | 13 |
| 2.055 | 44.07 | 8 |
| 2.661 | 33.68 | 7 |